Calculated PXRD pattern
Compound: HoFe6Ge6
Radiation: Cu Kα (λ = 1.5418 Å)
Structure: a DFT-relaxed cell (PBE, OQMD)
Peak positions follow from Bragg's law for the DFT cell and can differ from measured ones.

Structural model:
```
data_HoFe6Ge6
_chemical_formula_sum 'Ho4 Fe24 Ge24'
_cell_length_a 8.153
_cell_length_b 17.679
_cell_length_c 5.108
_cell_angle_alpha 90.00
_cell_angle_beta 90.00
_cell_angle_gamma 90.00
_symmetry_space_group_name_H-M 'C m c m'
_symmetry_Int_Tables_number 63
_symmetry_space_group_name_Hall '-C 2c 2'
loop_
_atom_site_label
_atom_site_fract_x
_atom_site_fract_y
_atom_site_fract_z
_atom_site_occupancy
Ho1 0.000 0.127 0.250 1
Fe1 0.249 0.375 0.250 1
Fe2 0.250 0.000 0.000 1
Fe3 0.250 0.250 0.000 1
Ge1 0.000 0.042 0.750 1
Ge2 0.000 0.211 0.750 1
Ge3 0.000 0.295 0.250 1
Ge4 0.000 0.459 0.250 1
Ge5 0.154 0.376 0.750 1
```

Peak list (10 most intense, 2θ from 5° to 70°, in order of rising 2θ)
h k l	two_theta	I_rel
0 0 2	35.15	71
3 1 1	37.84	15
3 3 1	40.60	13
0 4 2	40.81	51
2 0 2	41.75	100
4 0 0	44.45	25
2 8 0	46.74	39
3 1 2	49.23	21
0 6 3	63.07	13
2 6 3	67.58	23

=====

Calculated PXRD pattern
Compound: Pd9Pb2
Radiation: Cu Kα (λ = 1.5418 Å)
Structure: a DFT-relaxed cell (PBE, OQMD)
Peak positions follow from Bragg's law for the DFT cell and can differ from measured ones.

Structural model:
```
data_Pd9Pb2
_chemical_formula_sum 'Pd9 Pb2'
_cell_length_a 2.9133
_cell_length_b 2.9133
_cell_length_c 32.1743
_cell_angle_alpha 90.00
_cell_angle_beta 90.00
_cell_angle_gamma 120.00
_symmetry_space_group_name_H-M 'P -3 m 1'
_symmetry_Int_Tables_number 164
_symmetry_space_group_name_Hall '-P 3 2"'
loop_
_atom_site_label
_atom_site_fract_x
_atom_site_fract_y
_atom_site_fract_z
_atom_site_occupancy
Pd1 0.0000 0.0000 0.0000 1
Pd2 0.0000 0.0000 0.2032 1
Pd3 0.3333 0.6667 0.1350 1
Pd4 0.3333 0.6667 0.7276 1
Pd5 0.3333 0.6667 0.9325 1
Pb1 0.3333 0.6667 0.3470 1
```

Peak list (10 most intense, 2θ from 5° to 70°, in order of rising 2θ)
h k l	two_theta	I_rel
0 0 2	5.49	100
0 0 3	8.24	41
1 0 4	37.35	13
1 0 5	38.32	74
0 0 14	39.20	11
0 0 15	42.13	11
0 1 9	43.92	16
0 1 10	45.70	35
1 1 0	63.90	19
1 0 19	66.50	11

=====

Calculated PXRD pattern
Compound: MgNbB
Radiation: Cu Kα (λ = 1.5418 Å)
Structure: a DFT-relaxed cell (PBE, OQMD)
Peak positions follow from Bragg's law for the DFT cell and can differ from measured ones.

Structural model:
```
data_MgNbB
_chemical_formula_sum 'Mg4 Nb4 B4'
_cell_length_a 5.573
_cell_length_b 5.573
_cell_length_c 5.573
_cell_angle_alpha 90.00
_cell_angle_beta 90.00
_cell_angle_gamma 90.00
_symmetry_space_group_name_H-M 'F -4 3 m'
_symmetry_Int_Tables_number 216
_symmetry_space_group_name_Hall 'F -4 2 3'
loop_
_atom_site_label
_atom_site_fract_x
_atom_site_fract_y
_atom_site_fract_z
_atom_site_occupancy
Mg1 0.000 0.000 0.000 1
Nb1 0.000 0.000 0.500 1
B1 0.250 0.250 0.250 1
```

Peak list (6 most intense, 2θ from 5° to 70°, in order of rising 2θ)
h k l	two_theta	I_rel
1 1 1	27.73	76
2 0 0	32.12	100
2 2 0	46.07	92
3 1 1	54.62	33
2 2 2	57.27	25
4 0 0	67.19	14

=====

Calculated PXRD pattern
Compound: Ba2HfFeS6
Radiation: Cu Kα (λ = 1.5418 Å)
Structure: a DFT-relaxed cell (PBE, OQMD)
Peak positions follow from Bragg's law for the DFT cell and can differ from measured ones.

Structural model:
```
data_Ba2HfFeS6
_chemical_formula_sum 'Ba8 Hf4 Fe4 S24'
_cell_length_a 9.717
_cell_length_b 9.717
_cell_length_c 9.717
_cell_angle_alpha 90.00
_cell_angle_beta 90.00
_cell_angle_gamma 90.00
_symmetry_space_group_name_H-M 'F m -3 m'
_symmetry_Int_Tables_number 225
_symmetry_space_group_name_Hall '-F 4 2 3'
loop_
_atom_site_label
_atom_site_fract_x
_atom_site_fract_y
_atom_site_fract_z
_atom_site_occupancy
Ba1 0.250 0.250 0.250 1
Hf1 0.000 0.000 0.000 1
Fe1 0.000 0.000 0.500 1
S1 0.000 0.000 0.257 1
```

Peak list (10 most intense, 2θ from 5° to 70°, in order of rising 2θ)
h k l	two_theta	I_rel
1 1 1	15.80	12
2 2 0	25.94	100
3 1 1	30.51	10
2 2 2	31.90	11
4 0 0	37.01	51
3 3 1	40.47	6
4 2 2	45.74	44
4 4 0	53.33	34
6 2 0	60.24	20
4 4 4	66.69	11

=====

Calculated PXRD pattern
Compound: SnPtSeO
Radiation: Cu Kα (λ = 1.5418 Å)
Structure: a DFT-relaxed cell (PBE, OQMD)
Peak positions follow from Bragg's law for the DFT cell and can differ from measured ones.

Structural model:
```
data_SnPtSeO
_chemical_formula_sum 'Sn4 Pt4 Se4 O4'
_cell_length_a 5.338
_cell_length_b 6.849
_cell_length_c 9.355
_cell_angle_alpha 90.00
_cell_angle_beta 90.00
_cell_angle_gamma 90.00
_symmetry_space_group_name_H-M 'P 21 21 21'
_symmetry_Int_Tables_number 19
_symmetry_space_group_name_Hall 'P 2ac 2ab'
loop_
_atom_site_label
_atom_site_fract_x
_atom_site_fract_y
_atom_site_fract_z
_atom_site_occupancy
Sn1 0.202 0.107 0.419 1
Pt1 0.089 0.229 0.983 1
Se1 0.212 0.649 0.702 1
O1 0.146 0.718 0.067 1
```

Peak list (10 most intense, 2θ from 5° to 70°, in order of rising 2θ)
h k l	two_theta	I_rel
0 1 1	16.04	100
0 0 2	18.97	84
0 1 2	23.03	37
1 1 1	23.17	34
0 2 0	26.02	40
1 1 2	28.52	47
0 3 1	40.69	43
2 1 2	41.11	61
2 2 1	44.10	42
2 2 3	52.44	31

=====

Calculated PXRD pattern
Compound: Dy2LuFe3Co6
Radiation: Cu Kα (λ = 1.5418 Å)
Structure: a DFT-relaxed cell (PBE, OQMD)
Peak positions follow from Bragg's law for the DFT cell and can differ from measured ones.

Structural model:
```
data_Dy2LuFe3Co6
_chemical_formula_sum 'Dy6 Lu3 Fe9 Co18'
_cell_length_a 5.0457
_cell_length_b 5.0457
_cell_length_c 23.6003
_cell_angle_alpha 90.00
_cell_angle_beta 90.00
_cell_angle_gamma 120.00
_symmetry_space_group_name_H-M 'R -3 m'
_symmetry_Int_Tables_number 166
_symmetry_space_group_name_Hall '-R 3 2"'
loop_
_atom_site_label
_atom_site_fract_x
_atom_site_fract_y
_atom_site_fract_z
_atom_site_occupancy
Dy1 0.0000 0.0000 0.1405 1
Lu1 0.0000 0.0000 0.0000 1
Fe1 0.0000 0.0000 0.3331 1
Fe2 0.0000 0.0000 0.5000 1
Co1 0.0005 0.5003 0.9186 1
```

Peak list (10 most intense, 2θ from 5° to 70°, in order of rising 2θ)
h k l	two_theta	I_rel
1 0 1	20.67	16
1 0 7	33.57	54
1 1 0	35.59	58
0 1 8	36.76	40
0 2 1	41.51	43
1 1 6	42.57	100
0 0 15	58.69	12
2 1 7	62.63	18
1 2 8	64.68	15
3 0 6	68.72	23

=====

Calculated PXRD pattern
Compound: RePb2C2
Radiation: Cu Kα (λ = 1.5418 Å)
Structure: a DFT-relaxed cell (PBE, OQMD)
Peak positions follow from Bragg's law for the DFT cell and can differ from measured ones.

Structural model:
```
data_RePb2C2
_chemical_formula_sum 'Re4 Pb8 C8'
_cell_length_a 6.818
_cell_length_b 5.483
_cell_length_c 10.792
_cell_angle_alpha 90.00
_cell_angle_beta 90.00
_cell_angle_gamma 90.00
_symmetry_space_group_name_H-M 'P n m a'
_symmetry_Int_Tables_number 62
_symmetry_space_group_name_Hall '-P 2ac 2n'
loop_
_atom_site_label
_atom_site_fract_x
_atom_site_fract_y
_atom_site_fract_z
_atom_site_occupancy
Re1 0.233 0.250 0.162 1
Pb1 0.059 0.250 0.800 1
Pb2 0.164 0.250 0.467 1
C1 0.022 0.750 0.753 1
C2 0.233 0.750 0.489 1
```

Peak list (10 most intense, 2θ from 5° to 70°, in order of rising 2θ)
h k l	two_theta	I_rel
1 1 2	26.61	22
1 0 3	28.05	36
0 1 3	29.70	27
2 1 0	30.89	51
2 1 1	32.01	70
1 1 3	32.54	100
0 2 0	32.67	67
1 2 3	43.58	22
1 1 6	55.44	26
1 3 3	58.22	20

=====

Calculated PXRD pattern
Compound: NbMoAs4
Radiation: Cu Kα (λ = 1.5418 Å)
Structure: a DFT-relaxed cell (PBE, OQMD)
Peak positions follow from Bragg's law for the DFT cell and can differ from measured ones.

Structural model:
```
data_NbMoAs4
_chemical_formula_sum 'Nb2 Mo2 As8'
_cell_length_a 9.286
_cell_length_b 3.359
_cell_length_c 7.826
_cell_angle_alpha 90.00
_cell_angle_beta 119.00
_cell_angle_gamma 90.00
_symmetry_space_group_name_H-M 'C 1 m 1'
_symmetry_Int_Tables_number 8
_symmetry_space_group_name_Hall 'C -2y'
loop_
_atom_site_label
_atom_site_fract_x
_atom_site_fract_y
_atom_site_fract_z
_atom_site_occupancy
Nb1 0.000 0.000 0.000 1
Mo1 0.310 0.000 0.397 1
As1 0.007 0.000 0.662 1
As2 0.060 0.500 0.308 1
As3 0.255 0.500 0.096 1
As4 0.297 0.000 0.724 1
```

Peak list (10 most intense, 2θ from 5° to 70°, in order of rising 2θ)
h k l	two_theta	I_rel
1 1 1	33.85	100
2 0 -3	34.52	25
1 1 -2	35.25	31
0 0 3	39.50	34
3 1 -1	39.71	38
1 1 2	42.81	30
4 0 -3	42.92	57
4 0 0	44.66	45
3 1 -3	46.31	40
0 2 0	54.65	27

=====

Calculated PXRD pattern
Compound: In2Hg6P3Cl9
Radiation: Cu Kα (λ = 1.5418 Å)
Structure: a DFT-relaxed cell (PBE, OQMD)
Peak positions follow from Bragg's law for the DFT cell and can differ from measured ones.

Structural model:
```
data_In2Hg6P3Cl9
_chemical_formula_sum 'In4 Hg12 P6 Cl18'
_cell_length_a 10.529
_cell_length_b 10.862
_cell_length_c 11.012
_cell_angle_alpha 90.00
_cell_angle_beta 116.43
_cell_angle_gamma 90.00
_symmetry_space_group_name_H-M 'P 1 21 1'
_symmetry_Int_Tables_number 4
_symmetry_space_group_name_Hall 'P 2yb'
loop_
_atom_site_label
_atom_site_fract_x
_atom_site_fract_y
_atom_site_fract_z
_atom_site_occupancy
In1 0.140 0.000 0.411 1
In2 0.192 0.630 0.831 1
Hg1 0.014 0.065 0.825 1
Hg2 0.221 0.319 0.122 1
Hg3 0.328 0.394 0.506 1
Hg4 0.354 0.235 0.849 1
Hg5 0.367 0.654 0.277 1
Hg6 0.382 0.992 0.131 1
P1 0.223 0.478 0.279 1
P2 0.239 0.155 0.980 1
P3 0.482 0.320 0.732 1
Cl1 0.010 0.003 0.139 1
Cl2 0.030 0.222 0.372 1
Cl3 0.134 0.452 0.651 1
Cl4 0.157 0.785 0.983 1
Cl5 0.191 0.780 0.403 1
Cl6 0.201 0.019 0.655 1
Cl7 0.362 0.088 0.414 1
Cl8 0.380 0.503 0.018 1
Cl9 0.380 0.723 0.788 1
```

Peak list (10 most intense, 2θ from 5° to 70°, in order of rising 2θ)
h k l	two_theta	I_rel
1 1 0	12.43	61
1 1 -2	18.12	68
2 1 -1	18.71	69
0 2 2	24.38	59
2 2 -2	25.46	58
1 3 0	26.37	61
1 2 2	28.99	58
1 3 1	29.27	73
2 2 1	29.43	100
3 2 -1	30.50	87

=====

Calculated PXRD pattern
Compound: ZnI
Radiation: Cu Kα (λ = 1.5418 Å)
Structure: a DFT-relaxed cell (PBE, OQMD)
Peak positions follow from Bragg's law for the DFT cell and can differ from measured ones.

Structural model:
```
data_ZnI
_chemical_formula_sum 'Zn3 I3'
_cell_length_a 4.2529
_cell_length_b 4.2529
_cell_length_c 10.8770
_cell_angle_alpha 90.00
_cell_angle_beta 90.00
_cell_angle_gamma 120.00
_symmetry_space_group_name_H-M 'R -3 m'
_symmetry_Int_Tables_number 166
_symmetry_space_group_name_Hall '-R 3 2"'
loop_
_atom_site_label
_atom_site_fract_x
_atom_site_fract_y
_atom_site_fract_z
_atom_site_occupancy
Zn1 0.0000 0.0000 0.0000 1
I1 0.0000 0.0000 0.5000 1
```

Peak list (10 most intense, 2θ from 5° to 70°, in order of rising 2θ)
h k l	two_theta	I_rel
0 0 3	24.55	4
1 0 1	25.53	11
0 1 2	29.29	100
1 0 4	41.27	39
1 1 0	42.51	36
0 0 6	50.32	9
2 0 2	52.46	19
0 2 4	60.74	12
1 1 6	67.94	18
1 2 2	69.73	16

=====

Calculated PXRD pattern
Compound: CuAg
Radiation: Cu Kα (λ = 1.5418 Å)
Structure: a DFT-relaxed cell (PBE, OQMD)
Peak positions follow from Bragg's law for the DFT cell and can differ from measured ones.

Structural model:
```
data_CuAg
_chemical_formula_sum 'Cu8 Ag8'
_cell_length_a 11.813
_cell_length_b 2.775
_cell_length_c 9.175
_cell_angle_alpha 90.00
_cell_angle_beta 127.96
_cell_angle_gamma 90.00
_symmetry_space_group_name_H-M 'C 1 m 1'
_symmetry_Int_Tables_number 8
_symmetry_space_group_name_Hall 'C -2y'
loop_
_atom_site_label
_atom_site_fract_x
_atom_site_fract_y
_atom_site_fract_z
_atom_site_occupancy
Cu1 0.000 0.000 0.000 1
Cu2 0.010 0.500 0.534 1
Cu3 0.127 0.500 0.884 1
Cu4 0.242 0.000 0.761 1
Ag1 0.120 0.000 0.397 1
Ag2 0.250 0.500 0.260 1
Ag3 0.372 0.000 0.118 1
Ag4 0.383 0.500 0.650 1
```

Peak list (10 most intense, 2θ from 5° to 70°, in order of rising 2θ)
h k l	two_theta	I_rel
2 0 1	28.47	3
1 1 -2	38.33	3
2 0 2	39.87	34
3 1 -1	40.12	100
1 1 -3	46.17	43
6 0 -2	47.44	20
2 0 -6	67.18	6
0 2 0	67.52	8
5 1 1	68.17	12
7 1 -5	68.53	11